Diffraction record for LaPr2Ga4. The powder X-ray diffraction pattern is theoretical, not measured: it uses the PBE geometry in Alexandria and copper Kα.
Peak positions follow from Bragg's law for the DFT cell and can differ from measured ones.

The 10 most intense peaks (2θ from 15° to 90°), most intense first:
| 2θ (°) | I (rel.) | hkl |
| --- | --- | --- |
| 30.5 | 100 | 1 1 2 |
| 30.9 | 56 | 0 1 5 |
| 39.4 | 29 | 1 0 7 |
| 40.3 | 28 | 0 2 0 |
| 34.7 | 26 | 1 1 4 |
| 42.4 | 24 | 2 0 0 |
| 53.4 | 24 | 2 1 5 |
| 57.6 | 21 | 1 2 7 |
| 25.2 | 20 | 1 0 3 |
| 40.8 | 18 | 1 1 6 |

Structure:
Cell lengths 4.260, 4.479, 18.978 Å; angles 90.00, 90.00, 90.00 degrees
Space group Immm (No. 71)
Asymmetric unit:
La (0.000, 0.000, 0.000)
Pr (0.000, 0.500, 0.316)
Ga (0.000, 0.000, 0.434)
Ga (0.000, 0.500, 0.142)